[1]
This entry pairs a crystal structure of LaBeAl2Cu4 with its simulated XRD peak list. Radiation: λ = 1.5418 Å (Cu Kα). Structure: a DFT-relaxed cell (GGA-PBE, Alexandria).
Peak positions follow from Bragg's law for the DFT cell and can differ from measured ones.

Peak list (10 most intense, 10 to 90 degrees two-theta, by angle)
2θ (°)  I_rel
25.25  22
25.95  31
30.43  66
34.92  100
37.48  44
44.06  98
55.86  16
57.41  23
62.28  16
75.09  19

Atomic structure:
Lattice parameters (Å, degrees): 8.981 8.981 8.981 26.46 26.46 26.46
Fractional positions:
La (0.000, 0.000, 0.000)
Be (0.500, 0.500, 0.500)
Al (0.237, 0.237, 0.237)
Al (0.763, 0.763, 0.763)
Cu (0.138, 0.138, 0.138)
Cu (0.413, 0.413, 0.413)
Cu (0.587, 0.587, 0.587)
Cu (0.862, 0.862, 0.862)

---

[2]
This entry pairs a crystal structure of LuBeAlCu with its simulated XRD peak list. Radiation: λ = 1.5418 Å (Cu Kα). Structure: a DFT-relaxed cell (GGA-PBE, Alexandria).
Peak positions follow from Bragg's law for the DFT cell and can differ from measured ones.

Peak list (10 most intense, 10 to 90 degrees two-theta, by angle)
2θ (°)  I_rel
24.65  83
28.54  26
40.81  100
48.26  42
59.08  17
65.00  17
66.90  10
74.29  33
79.65  13
88.41  11

Atomic structure:
Lattice parameters (Å, degrees): 4.423 4.423 4.423 60.00 60.00 60.00
Fractional positions:
Lu (0.000, 0.000, 0.000)
Be (0.750, 0.750, 0.750)
Al (0.500, 0.500, 0.500)
Cu (0.250, 0.250, 0.250)

---

[3]
This entry pairs a crystal structure of PmBeAl2Cu4 with its simulated XRD peak list. Radiation: λ = 1.5418 Å (Cu Kα). Structure: a DFT-relaxed cell (GGA-PBE, Alexandria).
Peak positions follow from Bragg's law for the DFT cell and can differ from measured ones.

Peak list (10 most intense, 10 to 90 degrees two-theta, by angle)
2θ (°)  I_rel
25.37  26
26.10  33
30.80  67
35.47  96
38.14  53
44.25  100
57.95  22
72.65  17
75.70  19
81.44  15

Atomic structure:
Lattice parameters (Å, degrees): 8.755 8.755 8.755 27.04 27.04 27.04
Fractional positions:
Pm (0.000, 0.000, 0.000)
Be (0.500, 0.500, 0.500)
Al (0.238, 0.238, 0.238)
Al (0.762, 0.762, 0.762)
Cu (0.138, 0.138, 0.138)
Cu (0.410, 0.410, 0.410)
Cu (0.590, 0.590, 0.590)
Cu (0.862, 0.862, 0.862)